# 1
Calculated X-ray powder pattern of Pr2ScAlPt6 for Cu Kα X-rays, from DFT lattice parameters and positions (GGA-PBE).
Lines closer than 0.1° are merged.

Structural model:
a b c (Å): 5.703 5.703 8.743
angles (deg): 109.08 109.08 60.00
Element x y z (fractional)
Pr (0.206, 0.206, 0.118)
Pr (0.794, 0.794, 0.882)
Sc (0.000, 0.000, 0.500)
Al (0.500, 0.500, 0.000)
Pt (0.247, 0.745, 0.234)
Pt (0.255, 0.753, 0.766)
Pt (0.256, 0.256, 0.766)
Pt (0.744, 0.744, 0.234)
Pt (0.745, 0.247, 0.234)
Pt (0.753, 0.255, 0.766)

Peak list (10 most intense, 10° ≤ 2θ ≤ 90°, by angle)
| 2theta | I_rel |
| --- | --- |
| 10.9 | 33 |
| 22.0 | 77 |
| 34.7 | 15 |
| 37.2 | 100 |
| 38.6 | 23 |
| 39.4 | 88 |
| 41.4 | 21 |
| 47.5 | 30 |
| 65.5 | 26 |
| 70.0 | 20 |


# 2
Calculated X-ray powder pattern of Gd2NbNi for Cu Kα X-rays, from DFT lattice parameters and positions (GGA-PBE).
Lines closer than 0.1° are merged.

Structural model:
a b c (Å): 10.097 10.097 10.097
angles (deg): 18.66 18.66 18.66
Element x y z (fractional)
Gd (0.099, 0.099, 0.099)
Gd (0.901, 0.901, 0.901)
Nb (0.000, 0.000, 0.000)
Ni (0.500, 0.500, 0.500)

Peak list (10 most intense, 10° ≤ 2θ ≤ 90°, by angle)
| 2theta | I_rel |
| --- | --- |
| 27.0 | 43 |
| 31.7 | 89 |
| 32.1 | 74 |
| 35.0 | 67 |
| 40.0 | 36 |
| 44.1 | 100 |
| 46.4 | 33 |
| 56.2 | 49 |
| 63.4 | 23 |
| 71.6 | 23 |


# 3
Calculated X-ray powder pattern of Sm2Sb4Rh5 for Cu Kα X-rays, from DFT lattice parameters and positions (GGA-PBE).
Lines closer than 0.1° are merged.

Structural model:
a b c (Å): 9.483 8.513 5.839
angles (deg): 80.36 62.26 37.38
Element x y z (fractional)
Sm (0.126, 0.126, 0.874)
Sm (0.874, 0.874, 0.126)
Sb (0.213, 0.529, 0.471)
Sb (0.471, 0.787, 0.213)
Sb (0.529, 0.213, 0.787)
Sb (0.787, 0.471, 0.529)
Rh (0.000, 0.000, 0.500)
Rh (0.250, 0.250, 0.250)
Rh (0.500, 0.500, 0.000)
Rh (0.500, 0.500, 0.500)
Rh (0.750, 0.750, 0.750)

Peak list (10 most intense, 10° ≤ 2θ ≤ 90°, by angle)
| 2theta | I_rel |
| --- | --- |
| 28.4 | 34 |
| 31.1 | 55 |
| 35.0 | 100 |
| 35.8 | 40 |
| 38.5 | 99 |
| 41.9 | 47 |
| 45.3 | 44 |
| 59.3 | 26 |
| 63.8 | 30 |
| 81.6 | 33 |


# 4
Calculated X-ray powder pattern of TiNb3O6 for Cu Kα X-rays, from DFT lattice parameters and positions (GGA-PBE).
Lines closer than 0.1° are merged.

Structural model:
a b c (Å): 6.706 6.706 6.706
angles (deg): 73.32 73.32 73.32
Element x y z (fractional)
Ti (0.226, 0.226, 0.226)
Ti (0.774, 0.774, 0.774)
Nb (0.205, 0.618, 0.444)
Nb (0.382, 0.556, 0.795)
Nb (0.444, 0.205, 0.618)
Nb (0.556, 0.795, 0.382)
Nb (0.618, 0.444, 0.205)
Nb (0.795, 0.382, 0.556)
O (0.070, 0.673, 0.759)
O (0.148, 0.299, 0.534)
O (0.241, 0.930, 0.327)
O (0.299, 0.534, 0.148)
O (0.327, 0.241, 0.930)
O (0.466, 0.852, 0.701)
O (0.534, 0.148, 0.299)
O (0.673, 0.759, 0.070)
O (0.701, 0.466, 0.852)
O (0.759, 0.070, 0.673)
O (0.852, 0.701, 0.466)
O (0.930, 0.327, 0.241)

Peak list (10 most intense, 10° ≤ 2θ ≤ 90°, by angle)
| 2theta | I_rel |
| --- | --- |
| 14.1 | 100 |
| 26.4 | 14 |
| 28.9 | 38 |
| 33.3 | 14 |
| 34.8 | 17 |
| 36.4 | 29 |
| 42.5 | 59 |
| 49.2 | 15 |
| 61.2 | 16 |
| 62.0 | 14 |